Entry 1:
Pu2Sc2Sb2C: calculated powder X-ray diffraction pattern (Cu Ka), based on a cell relaxed with PBE.

Peak list (12 most intense, 5° ≤ 2θ ≤ 70°, low angle first)
2theta  I (rel.)
22.7  40
25.9  36
27.7  99
30.0  36
34.3  28
36.1  100
39.5  64
44.7  28
46.0  27
53.3  32
57.1  22
69.4  29

Crystal structure
Cell lengths 8.4707, 8.4707, 8.4707 Å; angles 148.76, 148.76, 44.77 degrees
Element x y z (fractional)
Pu 0.1580 0.1580 0.0000
Pu 0.8420 0.8420 0.0000
Sc 0.0000 0.5000 0.5000
Sc 0.5000 0.0000 0.5000
Sb 0.3660 0.3660 0.0000
Sb 0.6340 0.6340 0.0000
C 0.0000 0.0000 0.0000

=====

Entry 2:
PuScC: calculated powder X-ray diffraction pattern (Cu Ka), based on a cell relaxed with PBE.

Peak list (12 most intense, 5° ≤ 2θ ≤ 70°, low angle first)
2theta  I (rel.)
14.7  69
29.6  25
30.9  43
34.4  100
43.3  42
45.0  6
55.0  16
55.6  24
57.3  14
63.7  18
64.5  6
66.5  15

Crystal structure
Cell lengths 3.3382, 3.3382, 6.0452 Å; angles 90.00, 90.00, 120.00 degrees
Element x y z (fractional)
Pu 0.0000 0.0000 0.0000
Sc 0.6667 0.3333 0.5558
C 0.3333 0.6667 0.7575

=====

Entry 3:
PuSnC: calculated powder X-ray diffraction pattern (Cu Ka), based on a cell relaxed with PBE.

Peak list (12 most intense, 5° ≤ 2θ ≤ 70°, low angle first)
2theta  I (rel.)
14.9  42
28.0  100
30.4  81
30.8  88
32.6  59
35.3  79
35.9  58
39.8  60
47.1  19
55.3  20
56.3  23
63.2  29

Crystal structure
Cell lengths 3.3198, 6.0856, 6.5143 Å; angles 77.81, 89.96, 89.86 degrees
Element x y z (fractional)
Pu 0.0000 0.0000 0.0000
Pu 0.0013 0.2333 0.4791
Sn 0.5001 0.4982 0.0680
Sn 0.5036 0.7932 0.5038
C 0.4990 0.2769 0.7987
C 0.5001 0.4362 0.6193

=====

Entry 4:
Pu2TeC2: calculated powder X-ray diffraction pattern (Cu Ka), based on a cell relaxed with PBE.

Peak list (12 most intense, 5° ≤ 2θ ≤ 70°, low angle first)
2theta  I (rel.)
25.4  20
26.6  49
27.3  22
30.2  100
31.6  43
33.2  33
38.5  21
43.0  36
45.5  45
54.7  16
59.4  15
62.7  19

Crystal structure
Cell lengths 7.4381, 7.4381, 6.8094 Å; angles 100.04, 100.04, 32.53 degrees
Element x y z (fractional)
Pu 0.0425 0.6571 0.8532
Pu 0.3429 0.9575 0.6468
Pu 0.6571 0.0425 0.3532
Pu 0.9575 0.3429 0.1468
Te 0.2961 0.7039 0.2500
Te 0.7039 0.2961 0.7500
C 0.1503 0.3929 0.4685
C 0.3929 0.1503 0.9685
C 0.6071 0.8497 0.0315
C 0.8497 0.6071 0.5315

=====

Entry 5:
Pu2U2C3: calculated powder X-ray diffraction pattern (Cu Ka), based on a cell relaxed with PBE.

Peak list (12 most intense, 5° ≤ 2θ ≤ 70°, low angle first)
2theta  I (rel.)
28.5  46
30.9  40
32.3  100
34.0  57
39.6  25
42.6  18
49.7  20
50.3  18
50.5  30
51.7  19
59.7  22
61.8  18

Crystal structure
Cell lengths 6.0663, 6.0663, 6.3003 Å; angles 114.80, 114.80, 35.17 degrees
Element x y z (fractional)
Pu 0.0967 0.0967 0.3254
Pu 0.9033 0.9033 0.6746
U 0.3222 0.3222 0.1495
U 0.6778 0.6778 0.8505
C 0.2643 0.2643 0.7213
C 0.5000 0.5000 0.5000
C 0.7357 0.7357 0.2787

=====

Entry 6:
PuU3W4C6: calculated powder X-ray diffraction pattern (Cu Ka), based on a cell relaxed with PBE.

Peak list (12 most intense, 5° ≤ 2θ ≤ 70°, low angle first)
2theta  I (rel.)
25.7  13
32.1  58
32.9  53
34.7  100
38.2  77
40.6  27
50.0  15
57.6  25
58.1  14
64.7  14
67.0  12
68.4  14

Crystal structure
Cell lengths 5.5912, 3.1743, 11.4553 Å; angles 90.00, 103.38, 90.00 degrees
Element x y z (fractional)
Pu 0.0000 0.0000 0.0000
U 0.4758 0.0000 0.7936
U 0.5124 0.5000 0.5016
U 0.9652 0.5000 0.2910
W 0.0292 0.0000 0.5496
W 0.4491 0.0000 0.2468
W 0.5118 0.5000 0.0533
W 0.9626 0.5000 0.7412
C 0.2302 0.5000 0.1524
C 0.2452 0.5000 0.8946
C 0.2532 0.5000 0.6441
C 0.7342 0.0000 0.1441
C 0.7388 0.0000 0.6500
C 0.7407 0.0000 0.3977

=====

Entry 7:
PuWC2: calculated powder X-ray diffraction pattern (Cu Ka), based on a cell relaxed with PBE.

Peak list (12 most intense, 5° ≤ 2θ ≤ 70°, low angle first)
2theta  I (rel.)
31.3  10
32.4  50
32.7  32
35.5  100
40.1  32
52.7  12
55.9  11
56.5  20
60.3  17
61.8  13
66.2  10
66.3  9

Crystal structure
Cell lengths 5.7070, 3.2880, 10.9385 Å; angles 90.00, 90.00, 90.00 degrees
Element x y z (fractional)
Pu 0.0833 0.2500 0.1397
Pu 0.4167 0.7500 0.6397
Pu 0.5833 0.2500 0.3603
Pu 0.9167 0.7500 0.8603
W 0.0855 0.7500 0.3934
W 0.4145 0.2500 0.8934
W 0.5855 0.7500 0.1066
W 0.9145 0.2500 0.6066
C 0.1641 0.2500 0.7541
C 0.2357 0.2500 0.4888
C 0.2643 0.7500 0.9888
C 0.3359 0.7500 0.2541
C 0.6641 0.2500 0.7459
C 0.7357 0.2500 0.0112
C 0.7643 0.7500 0.5112
C 0.8359 0.7500 0.2459

=====

Entry 8:
Rb2C: calculated powder X-ray diffraction pattern (Cu Ka), based on a cell relaxed with PBE.

Peak list (12 most intense, 5° ≤ 2θ ≤ 70°, low angle first)
2theta  I (rel.)
22.2  13
23.9  35
25.2  100
26.8  40
32.8  14
41.0  29
42.9  13
45.2  13
46.9  17
48.1  16
50.6  16
64.8  15

Crystal structure
Cell lengths 7.4355, 7.4355, 4.7667 Å; angles 90.00, 90.00, 90.00 degrees
Element x y z (fractional)
Rb 0.1946 0.1946 0.0000
Rb 0.3054 0.6946 0.5000
Rb 0.6946 0.3054 0.5000
Rb 0.8054 0.8054 0.0000
C 0.0000 0.0000 0.5000
C 0.5000 0.5000 0.0000

=====

Entry 9:
Rb5C3: calculated powder X-ray diffraction pattern (Cu Ka), based on a cell relaxed with PBE.

Peak list (12 most intense, 5° ≤ 2θ ≤ 70°, low angle first)
2theta  I (rel.)
9.0  14
22.6  41
22.7  100
24.0  12
28.8  26
31.6  61
35.4  76
39.2  42
45.4  21
51.3  41
56.3  18
58.8  33

Crystal structure
Cell lengths 3.9981, 3.9981, 19.6874 Å; angles 90.00, 90.00, 90.00 degrees
Element x y z (fractional)
Rb 0.0000 0.0000 0.0000
Rb 0.0000 0.0000 0.1817
Rb 0.0000 0.0000 0.8183
Rb 0.5000 0.5000 0.4140
Rb 0.5000 0.5000 0.5860
C 0.0000 0.0000 0.5000
C 0.5000 0.5000 0.1092
C 0.5000 0.5000 0.8908

=====

Entry 10:
Rb2C: calculated powder X-ray diffraction pattern (Cu Ka), based on a cell relaxed with PBE.

Peak list (12 most intense, 5° ≤ 2θ ≤ 70°, low angle first)
2theta  I (rel.)
22.0  52
23.4  88
32.3  100
33.3  45
40.3  41
47.9  15
51.2  21
53.3  17
53.9  16
57.0  18
58.9  30
67.7  10

Crystal structure
Cell lengths 6.7257, 6.7257, 6.7257 Å; angles 111.18, 111.18, 106.11 degrees
Element x y z (fractional)
Rb 0.2375 0.7375 0.9750
Rb 0.2625 0.2375 0.5000
Rb 0.7375 0.7625 0.5000
Rb 0.7625 0.2625 0.0250
C 0.2500 0.2500 0.0000
C 0.7500 0.7500 0.0000

=====

Entry 11:
Rb6C5: calculated powder X-ray diffraction pattern (Cu Ka), based on a cell relaxed with PBE.

Peak list (12 most intense, 5° ≤ 2θ ≤ 70°, low angle first)
2theta  I (rel.)
13.0  10
22.4  30
22.6  13
25.2  100
32.0  24
34.7  10
36.7  12
39.6  19
41.1  27
46.0  17
47.6  12
49.5  10

Crystal structure
Cell lengths 7.8768, 7.8768, 7.9304 Å; angles 90.00, 90.00, 120.00 degrees
Element x y z (fractional)
Rb 0.0000 0.3658 0.0000
Rb 0.0000 0.6168 0.5000
Rb 0.3658 0.0000 0.0000
Rb 0.3832 0.3832 0.5000
Rb 0.6168 0.0000 0.5000
Rb 0.6342 0.6342 0.0000
C 0.0000 0.0000 0.5000
C 0.3333 0.6667 0.2416
C 0.3333 0.6667 0.7584
C 0.6667 0.3333 0.2416
C 0.6667 0.3333 0.7584

=====

Entry 12:
Rb3C2: calculated powder X-ray diffraction pattern (Cu Ka), based on a cell relaxed with PBE.

Peak list (12 most intense, 5° ≤ 2θ ≤ 70°, low angle first)
2theta  I (rel.)
13.3  26
22.8  100
23.3  43
26.3  12
26.7  9
29.4  20
29.5  27
30.4  24
35.3  36
35.8  19
41.9  15
46.7  10

Crystal structure
Cell lengths 8.2391, 8.2107, 9.6161 Å; angles 54.36, 54.09, 71.55 degrees
Element x y z (fractional)
Rb 0.0000 0.0000 0.0000
Rb 0.1297 0.5379 0.5454
Rb 0.2500 0.2500 0.2500
Rb 0.4631 0.7046 0.7121
Rb 0.5379 0.1297 0.7869
Rb 0.7046 0.4631 0.1203
C 0.1564 0.3724 0.9253
C 0.3247 0.7041 0.0936
C 0.3724 0.1564 0.5459
C 0.7041 0.3247 0.8776

=====

Entry 13:
RbCS3: calculated powder X-ray diffraction pattern (Cu Ka), based on a cell relaxed with PBE.

Peak list (12 most intense, 5° ≤ 2θ ≤ 70°, low angle first)
2theta  I (rel.)
14.1  36
21.2  100
21.8  95
23.6  38
25.9  64
28.5  87
29.5  99
35.0  33
35.7  30
38.5  55
39.8  39
42.6  30

Crystal structure
Cell lengths 8.3524, 8.3524, 5.0463 Å; angles 92.18, 92.18, 131.16 degrees
Element x y z (fractional)
Rb 0.2009 0.7991 0.5000
Rb 0.7991 0.2009 0.0000
C 0.4674 0.5680 0.1019
C 0.5680 0.4674 0.6019
S 0.3254 0.6509 0.9986
S 0.3530 0.4283 0.4039
S 0.4283 0.3530 0.9039
S 0.6509 0.3254 0.4986
S 0.7600 0.7917 0.1572
S 0.7917 0.7600 0.6572

=====

Entry 14:
RbTlC: calculated powder X-ray diffraction pattern (Cu Ka), based on a cell relaxed with PBE.

Peak list (12 most intense, 5° ≤ 2θ ≤ 70°, low angle first)
2theta  I (rel.)
14.1  17
14.3  24
15.2  34
25.7  27
26.1  24
26.6  100
27.6  32
28.6  26
30.7  19
38.5  21
40.8  23
44.2  19

Crystal structure
Cell lengths 7.3340, 7.3340, 6.8559 Å; angles 113.89, 113.89, 37.16 degrees
Element x y z (fractional)
Rb 0.1005 0.1005 0.3201
Rb 0.8995 0.8995 0.6799
Tl 0.3239 0.3239 0.1474
Tl 0.6761 0.6761 0.8526
C 0.4600 0.4600 0.0210
C 0.5400 0.5400 0.9790